Entry 1:
Structure and computed X-ray powder pattern of TbMnTlTe3 (a structure optimized by DFT (PBE); a wavelength of 1.5418 Å).
Intensities are scaled so that the largest is 100.

Structure:
a = 9.5926 Å, b = 4.4486 Å, c = 10.2686 Å
α = 90.00°, β = 106.94°, γ = 90.00°
Sites, in units of the cell vectors:
1 Tb 0.1705 0.2500 0.1422
2 Tb 0.8295 0.7500 0.8578
3 Mn 0.4159 0.7500 0.3956
4 Mn 0.5841 0.2500 0.6044
5 Tl 0.2950 0.7500 0.7761
6 Tl 0.7050 0.2500 0.2239
7 Te 0.0435 0.2500 0.8306
8 Te 0.2846 0.2500 0.4693
9 Te 0.3952 0.7500 0.1297
10 Te 0.6048 0.2500 0.8703
11 Te 0.7154 0.7500 0.5307
12 Te 0.9565 0.7500 0.1694

Peak list (10 most intense, 10 to 90 degrees two-theta, sorted by position)
2θ (°), d_spacing, I/Imax
27.24, 3.274, 40
27.56, 3.236, 100
27.94, 3.194, 46
31.57, 2.834, 19
33.08, 2.708, 19
36.54, 2.459, 21
37.58, 2.394, 20
40.56, 2.224, 33
41.60, 2.171, 32
44.16, 2.051, 21



Entry 2:
Structure and computed X-ray powder pattern of K2PO4 (a structure optimized by DFT (PBE); a wavelength of 1.5418 Å).
Intensities are scaled so that the largest is 100.

Structure:
a = 5.9723 Å, b = 10.4106 Å, c = 7.4996 Å
α = 90.00°, β = 98.74°, γ = 90.00°
Sites, in units of the cell vectors:
1 K 0.2337 0.2297 0.4779
2 K 0.2337 0.2703 0.9779
3 K 0.2518 0.5833 0.3299
4 K 0.2518 0.9167 0.8299
5 K 0.7482 0.0833 0.1701
6 K 0.7482 0.4167 0.6701
7 K 0.7663 0.7297 0.0221
8 K 0.7663 0.7703 0.5221
9 P 0.2838 0.5744 0.7796
10 P 0.2838 0.9256 0.2796
11 P 0.7162 0.0744 0.7204
12 P 0.7162 0.4256 0.2204
13 O 0.0839 0.6566 0.8161
14 O 0.0839 0.8434 0.3161
15 O 0.2199 0.0540 0.1860
16 O 0.2199 0.4460 0.6860
17 O 0.3923 0.5406 0.9976
18 O 0.3923 0.9594 0.4976
19 O 0.4689 0.6456 0.6995
20 O 0.4689 0.8544 0.1995
21 O 0.5311 0.1456 0.8005
22 O 0.5311 0.3544 0.3005
23 O 0.6077 0.0406 0.5024
24 O 0.6077 0.4594 0.0024
25 O 0.7801 0.5540 0.3140
26 O 0.7801 0.9460 0.8140
27 O 0.9161 0.1566 0.6839
28 O 0.9161 0.3434 0.1839

Peak list (10 most intense, 10 to 90 degrees two-theta, sorted by position)
2θ (°), d_spacing, I/Imax
19.69, 4.509, 20
27.76, 3.214, 25
29.59, 3.019, 26
29.87, 2.992, 100
30.30, 2.950, 51
31.58, 2.833, 51
35.44, 2.533, 32
39.99, 2.255, 34
42.44, 2.130, 20
49.82, 1.830, 17



Entry 3:
Structure and computed X-ray powder pattern of CsTbMn2S4 (a structure optimized by DFT (PBE); a wavelength of 1.5418 Å).
Intensities are scaled so that the largest is 100.

Structure:
a = 7.0409 Å, b = 7.0409 Å, c = 7.0409 Å
α = 123.56°, β = 106.94°, γ = 98.96°
Sites, in units of the cell vectors:
1 Cs 0.0000 0.0000 0.0000
2 Tb 0.5000 0.5000 0.0000
3 Mn 0.3938 0.8938 0.5000
4 Mn 0.6062 0.1062 0.5000
5 S 0.1726 0.0744 0.5925
6 S 0.4819 0.5802 0.4075
7 S 0.5181 0.9256 0.0982
8 S 0.8274 0.4198 0.9018

Peak list (10 most intense, 10 to 90 degrees two-theta, sorted by position)
2θ (°), d_spacing, I/Imax
14.33, 6.180, 64
17.01, 5.214, 50
19.40, 4.574, 35
21.20, 4.191, 65
25.91, 3.439, 100
28.89, 3.090, 57
33.28, 2.692, 51
34.40, 2.607, 62
39.80, 2.265, 34
43.19, 2.095, 59



Entry 4:
Structure and computed X-ray powder pattern of Tb19Dy6Tm4 (a structure optimized by DFT (PBE); a wavelength of 1.5418 Å).
Intensities are scaled so that the largest is 100.

Structure:
a = 10.7298 Å, b = 10.7298 Å, c = 10.7298 Å
α = 109.47°, β = 109.47°, γ = 109.47°
Sites, in units of the cell vectors:
1 Tb 0.0000 0.0000 0.0000
2 Tb 0.0000 0.2599 0.2599
3 Tb 0.0000 0.7401 0.7401
4 Tb 0.0185 0.2161 0.6761
5 Tb 0.1976 0.9815 0.6576
6 Tb 0.2161 0.6761 0.0185
7 Tb 0.2599 0.0000 0.2599
8 Tb 0.2599 0.2599 0.0000
9 Tb 0.3239 0.5401 0.3424
10 Tb 0.3424 0.3239 0.5401
11 Tb 0.4599 0.7839 0.8024
12 Tb 0.5401 0.3424 0.3239
13 Tb 0.6576 0.1976 0.9815
14 Tb 0.6761 0.0185 0.2161
15 Tb 0.7401 0.0000 0.7401
16 Tb 0.7401 0.7401 0.0000
17 Tb 0.7839 0.8024 0.4599
18 Tb 0.8024 0.4599 0.7839
19 Tb 0.9815 0.6576 0.1976
20 Dy 0.1267 0.5000 0.6267
21 Dy 0.3733 0.8733 0.5000
22 Dy 0.5000 0.3733 0.8733
23 Dy 0.5000 0.6267 0.1267
24 Dy 0.6267 0.1267 0.5000
25 Dy 0.8733 0.5000 0.3733
26 Tm 0.0000 0.0000 0.3581
27 Tm 0.0000 0.3581 0.0000
28 Tm 0.3581 0.0000 0.0000
29 Tm 0.6419 0.6419 0.6419

Peak list (10 most intense, 10 to 90 degrees two-theta, sorted by position)
2θ (°), d_spacing, I/Imax
26.93, 3.311, 48
28.82, 3.097, 55
30.61, 2.920, 100
33.94, 2.641, 18
35.50, 2.529, 41
37.00, 2.430, 71
42.55, 2.125, 19
54.42, 1.686, 25
60.73, 1.525, 27
61.74, 1.502, 21



Entry 5:
Structure and computed X-ray powder pattern of PuScRuPb (a structure optimized by DFT (PBE); a wavelength of 1.5418 Å).
Intensities are scaled so that the largest is 100.

Structure:
a = 3.2831 Å, b = 3.2831 Å, c = 8.2224 Å
α = 90.00°, β = 90.00°, γ = 90.00°
Sites, in units of the cell vectors:
1 Pu 0.0000 0.0000 0.0000
2 Sc 0.0000 0.0000 0.5978
3 Ru 0.5000 0.5000 0.7819
4 Pb 0.5000 0.5000 0.3159

Peak list (10 most intense, 10 to 90 degrees two-theta, sorted by position)
2θ (°), d_spacing, I/Imax
10.76, 8.222, 27
29.29, 3.049, 43
32.67, 2.741, 15
34.98, 2.565, 100
38.79, 2.321, 45
51.60, 1.771, 17
56.02, 1.642, 16
60.12, 1.539, 12
63.24, 1.470, 10
67.77, 1.383, 30



Entry 6:
Structure and computed X-ray powder pattern of Ca3Zn9Cu2 (a structure optimized by DFT (PBE); a wavelength of 1.5418 Å).
Intensities are scaled so that the largest is 100.

Structure:
a = 8.2182 Å, b = 8.2182 Å, c = 8.2182 Å
α = 149.53°, β = 111.14°, γ = 77.14°
Sites, in units of the cell vectors:
1 Ca 0.0000 0.0000 0.0000
2 Ca 0.3056 0.3056 0.0000
3 Ca 0.6944 0.6944 0.0000
4 Zn 0.0230 0.6679 0.3551
5 Zn 0.1603 0.8785 0.2818
6 Zn 0.3128 0.6679 0.6449
7 Zn 0.4034 0.1215 0.2818
8 Zn 0.5000 0.0000 0.5000
9 Zn 0.5966 0.8785 0.7182
10 Zn 0.6872 0.3321 0.3551
11 Zn 0.8397 0.1215 0.7182
12 Zn 0.9770 0.3321 0.6449
13 Cu 0.2961 0.5000 0.7961
14 Cu 0.7039 0.5000 0.2039

Peak list (10 most intense, 10 to 90 degrees two-theta, sorted by position)
2θ (°), d_spacing, I/Imax
19.10, 4.646, 43
33.92, 2.643, 32
35.27, 2.545, 100
35.67, 2.517, 41
35.77, 2.510, 27
38.41, 2.344, 51
40.86, 2.209, 47
41.82, 2.160, 77
45.47, 1.995, 44
45.81, 1.981, 58



Entry 7:
Structure and computed X-ray powder pattern of SrCd2GeO4 (a structure optimized by DFT (PBE); a wavelength of 1.5418 Å).
Intensities are scaled so that the largest is 100.

Structure:
a = 6.4416 Å, b = 6.4416 Å, c = 6.4416 Å
α = 132.47°, β = 132.47°, γ = 69.49°
Sites, in units of the cell vectors:
1 Sr 0.0000 0.0000 0.0000
2 Cd 0.2500 0.7500 0.5000
3 Cd 0.7500 0.2500 0.5000
4 Ge 0.5000 0.5000 0.0000
5 O 0.1999 0.1999 0.6020
6 O 0.4021 0.8001 0.0000
7 O 0.5979 0.5979 0.3980
8 O 0.8001 0.4021 0.0000

Peak list (10 most intense, 10 to 90 degrees two-theta, sorted by position)
2θ (°), d_spacing, I/Imax
29.61, 3.017, 100
33.87, 2.646, 12
34.55, 2.596, 24
49.16, 1.853, 28
49.66, 1.836, 13
58.00, 1.590, 14
58.89, 1.568, 26
61.47, 1.508, 10
79.79, 1.202, 11
80.57, 1.192, 6



Entry 8:
Structure and computed X-ray powder pattern of Er6Mg2In3 (a structure optimized by DFT (PBE); a wavelength of 1.5418 Å).
Intensities are scaled so that the largest is 100.

Structure:
a = 11.8554 Å, b = 11.8554 Å, c = 11.8554 Å
α = 153.53°, β = 153.53°, γ = 37.78°
Sites, in units of the cell vectors:
1 Er 0.0955 0.5955 0.5000
2 Er 0.1971 0.1971 0.0000
3 Er 0.4045 0.9045 0.5000
4 Er 0.5955 0.0955 0.5000
5 Er 0.8029 0.8029 0.0000
6 Er 0.9045 0.4045 0.5000
7 Mg 0.0555 0.0555 0.0000
8 Mg 0.9445 0.9445 0.0000
9 In 0.3338 0.3338 0.0000
10 In 0.5000 0.5000 0.0000
11 In 0.6662 0.6662 0.0000

Peak list (10 most intense, 10 to 90 degrees two-theta, sorted by position)
2θ (°), d_spacing, I/Imax
15.80, 5.608, 22
24.51, 3.632, 42
28.17, 3.168, 46
32.44, 2.760, 26
33.00, 2.714, 91
33.46, 2.678, 100
46.95, 1.935, 23
47.37, 1.919, 33
52.95, 1.729, 20
59.23, 1.560, 39



Entry 9:
Structure and computed X-ray powder pattern of Th2TaSe2I4 (a structure optimized by DFT (PBE); a wavelength of 1.5418 Å).
Intensities are scaled so that the largest is 100.

Structure:
a = 3.7916 Å, b = 3.7916 Å, c = 24.4576 Å
α = 90.00°, β = 90.00°, γ = 120.00°
Sites, in units of the cell vectors:
1 Th 0.0000 0.0000 0.0000
2 Th 0.3333 0.6667 0.3591
3 Ta 0.3333 0.6667 0.6922
4 Se 0.0000 0.0000 0.6275
5 Se 0.0000 0.0000 0.7570
6 I 0.0000 0.0000 0.2630
7 I 0.0000 0.0000 0.4548
8 I 0.3333 0.6667 0.0962
9 I 0.3333 0.6667 0.9045

Peak list (10 most intense, 10 to 90 degrees two-theta, sorted by position)
2θ (°), d_spacing, I/Imax
10.85, 8.153, 100
27.16, 3.284, 53
29.32, 3.046, 22
30.91, 2.893, 81
32.85, 2.726, 58
35.09, 2.557, 37
37.59, 2.393, 27
40.31, 2.238, 18
47.99, 1.896, 44
59.41, 1.556, 22



Entry 10:
Structure and computed X-ray powder pattern of Mg4InAg3 (a structure optimized by DFT (PBE); a wavelength of 1.5418 Å).
Intensities are scaled so that the largest is 100.

Structure:
a = 4.7284 Å, b = 4.7284 Å, c = 6.9966 Å
α = 90.00°, β = 90.00°, γ = 90.00°
Sites, in units of the cell vectors:
1 Mg 0.0000 0.5000 0.2343
2 Mg 0.0000 0.5000 0.7657
3 Mg 0.5000 0.0000 0.2343
4 Mg 0.5000 0.0000 0.7657
5 In 0.0000 0.0000 0.5000
6 Ag 0.0000 0.0000 0.0000
7 Ag 0.5000 0.5000 0.0000
8 Ag 0.5000 0.5000 0.5000

Peak list (10 most intense, 10 to 90 degrees two-theta, sorted by position)
2θ (°), d_spacing, I/Imax
25.46, 3.498, 27
26.66, 3.343, 48
37.20, 2.417, 100
38.06, 2.364, 47
46.35, 1.959, 21
54.92, 1.672, 16
59.66, 1.550, 10
66.49, 1.406, 16
68.21, 1.375, 31
79.27, 1.209, 10



Entry 11:
Structure and computed X-ray powder pattern of Sc2UTaC4 (a structure optimized by DFT (PBE); a wavelength of 1.5418 Å).
Intensities are scaled so that the largest is 100.

Structure:
a = 5.7030 Å, b = 3.3258 Å, c = 5.7938 Å
α = 90.00°, β = 109.20°, γ = 90.00°
Sites, in units of the cell vectors:
1 Sc 0.0000 0.0000 0.0000
2 Sc 0.0000 0.5000 0.5000
3 U 0.5000 0.0000 0.5000
4 Ta 0.5000 0.5000 0.0000
5 C 0.2660 0.5000 0.2441
6 C 0.2678 0.0000 0.7588
7 C 0.7322 0.0000 0.2412
8 C 0.7340 0.5000 0.7559

Peak list (10 most intense, 10 to 90 degrees two-theta, sorted by position)
2θ (°), d_spacing, I/Imax
16.46, 5.386, 100
31.46, 2.843, 63
32.74, 2.736, 40
33.03, 2.712, 78
33.27, 2.693, 38
38.25, 2.353, 73
38.43, 2.343, 36
54.98, 1.670, 25
55.21, 1.664, 25
55.69, 1.650, 24



Entry 12:
Structure and computed X-ray powder pattern of LaFeCuC (a structure optimized by DFT (PBE); a wavelength of 1.5418 Å).
Intensities are scaled so that the largest is 100.

Structure:
a = 3.4615 Å, b = 3.4615 Å, c = 10.3001 Å
α = 90.00°, β = 90.00°, γ = 90.00°
Sites, in units of the cell vectors:
1 La 0.2500 0.2500 0.2413
2 La 0.7500 0.7500 0.7587
3 Fe 0.2500 0.7500 0.0000
4 Fe 0.7500 0.2500 0.0000
5 Cu 0.2500 0.7500 0.5000
6 Cu 0.7500 0.2500 0.5000
7 C 0.2500 0.2500 0.9101
8 C 0.7500 0.7500 0.0899

Peak list (10 most intense, 10 to 90 degrees two-theta, sorted by position)
2θ (°), d_spacing, I/Imax
27.18, 3.281, 75
34.84, 2.575, 38
36.87, 2.438, 42
40.82, 2.211, 100
51.63, 1.770, 12
52.90, 1.731, 25
60.48, 1.531, 16
64.92, 1.436, 23
66.22, 1.411, 14
66.53, 1.405, 23